Record 1
For Y4Ir2Ru, a structure optimized by DFT (PBE) gives the simulated powder X-ray diffraction pattern in this record (copper Kα).
Intensities are scaled so that the largest is 100.

Structural model:
Unit cell a=8.3236 b=8.3236 c=8.3236 alpha=33.80 beta=33.80 gamma=33.80
Atoms (fractional coordinates):
Y (0.1244, 0.1244, 0.1244)
Y (0.3750, 0.3750, 0.3750)
Y (0.6250, 0.6250, 0.6250)
Y (0.8756, 0.8756, 0.8756)
Ir (0.2498, 0.2498, 0.2498)
Ir (0.7502, 0.7502, 0.7502)
Ru (0.5000, 0.5000, 0.5000)

The 12 most intense peaks (5° ≤ 2θ ≤ 70°), low angle first:
11.29°, intensity 9.0; 21.54°, intensity 6.1; 22.52°, intensity 36.9; 22.68°, intensity 12.6; 37.16°, intensity 100.0; 37.36°, intensity 98.5; 43.95°, intensity 20.5; 44.15°, intensity 6.3; 53.72°, intensity 34.3; 66.99°, intensity 17.5; 67.12°, intensity 34.8; 67.52°, intensity 17.1

---

Record 2
For ZrIrRu2, a structure optimized by DFT (PBE) gives the simulated powder X-ray diffraction pattern in this record (copper Kα).
Intensities are scaled so that the largest is 100.

Structural model:
Unit cell a=9.3329 b=2.8690 c=4.8118 alpha=90.00 beta=100.73 gamma=90.00
Atoms (fractional coordinates):
Zr (0.0000, 0.0000, 0.0000)
Zr (0.5000, 0.5000, 0.0000)
Ir (0.2562, 0.5000, 0.2611)
Ir (0.7562, 0.0000, 0.2611)
Ru (0.0003, 0.5000, 0.5078)
Ru (0.2410, 0.0000, 0.7165)
Ru (0.5003, 0.0000, 0.5078)
Ru (0.7410, 0.5000, 0.7165)

The 12 most intense peaks (5° ≤ 2θ ≤ 70°), low angle first:
18.77°, intensity 11.1; 19.36°, intensity 10.4; 24.40°, intensity 5.7; 38.92°, intensity 100.0; 39.30°, intensity 48.6; 39.51°, intensity 47.8; 45.10°, intensity 66.8; 46.38°, intensity 28.5; 65.01°, intensity 11.1; 66.37°, intensity 10.4; 66.55°, intensity 19.1; 66.83°, intensity 18.8

---

Record 3
For Zr6IrRu5, a structure optimized by DFT (PBE) gives the simulated powder X-ray diffraction pattern in this record (copper Kα).
Intensities are scaled so that the largest is 100.

Structural model:
Unit cell a=8.0236 b=8.0236 c=8.0236 alpha=146.35 beta=131.61 gamma=60.23
Atoms (fractional coordinates):
Zr (0.0817, 0.3328, 0.7489)
Zr (0.2480, 0.0000, 0.2480)
Zr (0.4162, 0.6672, 0.7489)
Zr (0.5838, 0.3328, 0.2511)
Zr (0.7520, 0.0000, 0.7520)
Zr (0.9183, 0.6672, 0.2511)
Ir (0.5000, 0.5000, 0.0000)
Ru (0.0000, 0.5000, 0.5000)
Ru (0.1667, 0.1667, 0.0000)
Ru (0.3335, 0.8335, 0.5000)
Ru (0.6665, 0.1665, 0.5000)
Ru (0.8333, 0.8333, 0.0000)

The 12 most intense peaks (5° ≤ 2θ ≤ 70°), low angle first:
12.75°, intensity 1.2; 14.91°, intensity 1.6; 20.16°, intensity 0.9; 23.48°, intensity 1.3; 26.78°, intensity 1.0; 27.18°, intensity 2.0; 34.02°, intensity 0.5; 35.06°, intensity 0.8; 38.79°, intensity 100.0; 38.93°, intensity 19.8; 55.93°, intensity 6.8; 56.11°, intensity 13.4

---

Record 4
For ZrIrRu4, a structure optimized by DFT (PBE) gives the simulated powder X-ray diffraction pattern in this record (copper Kα).
Intensities are scaled so that the largest is 100.

Structural model:
Unit cell a=5.1164 b=5.1164 c=5.1164 alpha=60.00 beta=60.00 gamma=60.00
Atoms (fractional coordinates):
Zr (0.0000, 0.0000, 0.0000)
Ir (0.2500, 0.2500, 0.2500)
Ru (0.1286, 0.6238, 0.6238)
Ru (0.6238, 0.1286, 0.6238)
Ru (0.6238, 0.6238, 0.1286)
Ru (0.6238, 0.6238, 0.6238)

The 10 most intense peaks (5° ≤ 2θ ≤ 70°), low angle first:
21.27°, intensity 5.6; 24.61°, intensity 4.4; 35.08°, intensity 37.2; 41.39°, intensity 100.0; 43.32°, intensity 30.9; 50.45°, intensity 1.3; 55.34°, intensity 1.0; 56.91°, intensity 2.6; 62.93°, intensity 13.7; 67.23°, intensity 31.1

---

Record 5
For Ir2S, a structure optimized by DFT (PBE) gives the simulated powder X-ray diffraction pattern in this record (copper Kα).
Intensities are scaled so that the largest is 100.

Structural model:
Unit cell a=2.9070 b=2.9070 c=5.4480 alpha=90.00 beta=90.00 gamma=90.00
Atoms (fractional coordinates):
Ir (0.0000, 0.5000, 0.1819)
Ir (0.5000, 0.0000, 0.8181)
S (0.5000, 0.5000, 0.5000)

The 12 most intense peaks (5° ≤ 2θ ≤ 70°), low angle first:
16.27°, intensity 19.3; 32.88°, intensity 11.3; 34.99°, intensity 100.0; 44.05°, intensity 26.7; 45.64°, intensity 33.2; 47.26°, intensity 12.9; 50.24°, intensity 11.8; 56.05°, intensity 17.1; 60.07°, intensity 2.2; 64.06°, intensity 12.3; 66.59°, intensity 2.1; 69.01°, intensity 13.2

---

Record 6
For IrS2, a structure optimized by DFT (PBE) gives the simulated powder X-ray diffraction pattern in this record (copper Kα).
Intensities are scaled so that the largest is 100.

Structural model:
Unit cell a=20.0391 b=3.6120 c=5.6850 alpha=90.00 beta=90.00 gamma=90.00
Atoms (fractional coordinates):
Ir (0.0774, 0.2500, 0.0727)
Ir (0.1960, 0.7500, 0.5590)
Ir (0.3040, 0.2500, 0.0590)
Ir (0.4226, 0.7500, 0.5727)
Ir (0.5774, 0.2500, 0.4273)
Ir (0.6960, 0.7500, 0.9410)
Ir (0.8040, 0.2500, 0.4410)
Ir (0.9226, 0.7500, 0.9273)
S (0.0090, 0.7500, 0.2216)
S (0.1235, 0.2500, 0.4536)
S (0.1406, 0.7500, 0.9359)
S (0.2371, 0.7500, 0.1793)
S (0.2629, 0.2500, 0.6793)
S (0.3594, 0.2500, 0.4359)
S (0.3765, 0.7500, 0.9536)
S (0.4910, 0.2500, 0.7216)
S (0.5090, 0.7500, 0.2784)
S (0.6235, 0.2500, 0.0464)
S (0.6406, 0.7500, 0.5641)
S (0.7371, 0.7500, 0.3207)
S (0.7629, 0.2500, 0.8207)
S (0.8594, 0.2500, 0.0641)
S (0.8765, 0.7500, 0.5464)
S (0.9910, 0.2500, 0.7784)

The 12 most intense peaks (5° ≤ 2θ ≤ 70°), low angle first:
16.21°, intensity 28.9; 20.51°, intensity 50.9; 23.67°, intensity 28.8; 27.22°, intensity 71.3; 29.64°, intensity 50.6; 30.51°, intensity 100.0; 31.80°, intensity 21.6; 44.40°, intensity 32.6; 46.55°, intensity 28.7; 50.54°, intensity 21.9; 50.78°, intensity 53.9; 54.70°, intensity 26.8

---

Record 7
For Ir2S, a structure optimized by DFT (PBE) gives the simulated powder X-ray diffraction pattern in this record (copper Kα).
Intensities are scaled so that the largest is 100.

Structural model:
Unit cell a=10.4171 b=2.7852 c=3.4616 alpha=90.00 beta=95.06 gamma=90.00
Atoms (fractional coordinates):
Ir (0.0000, 0.0000, 0.0000)
Ir (0.1458, 0.5000, 0.5568)
Ir (0.5000, 0.5000, 0.0000)
Ir (0.6458, 0.0000, 0.5568)
S (0.2920, 0.5000, 0.0856)
S (0.7920, 0.0000, 0.0856)

The 12 most intense peaks (5° ≤ 2θ ≤ 70°), low angle first:
17.09°, intensity 88.8; 29.82°, intensity 32.8; 32.42°, intensity 55.4; 33.31°, intensity 36.4; 41.65°, intensity 100.0; 42.13°, intensity 58.2; 43.12°, intensity 43.6; 45.58°, intensity 24.4; 52.95°, intensity 16.4; 53.12°, intensity 17.6; 55.20°, intensity 20.2; 63.80°, intensity 14.1

---

Record 8
For Ir2S, a structure optimized by DFT (PBE) gives the simulated powder X-ray diffraction pattern in this record (copper Kα).
Intensities are scaled so that the largest is 100.

Structural model:
Unit cell a=7.2244 b=2.8779 c=4.3482 alpha=90.00 beta=103.44 gamma=90.00
Atoms (fractional coordinates):
Ir (0.1753, 0.0000, 0.2096)
Ir (0.3247, 0.5000, 0.7904)
Ir (0.6753, 0.5000, 0.2096)
Ir (0.8247, 0.0000, 0.7904)
S (0.0000, 0.5000, 0.5000)
S (0.5000, 0.0000, 0.5000)

The 12 most intense peaks (5° ≤ 2θ ≤ 70°), low angle first:
25.35°, intensity 31.9; 29.02°, intensity 27.0; 33.65°, intensity 16.7; 36.86°, intensity 50.8; 38.32°, intensity 100.0; 41.64°, intensity 31.2; 42.76°, intensity 20.4; 44.58°, intensity 28.6; 50.22°, intensity 47.1; 51.49°, intensity 22.4; 58.04°, intensity 22.2; 60.95°, intensity 11.5

---

Record 9
For Sb3Ir2S3, a structure optimized by DFT (PBE) gives the simulated powder X-ray diffraction pattern in this record (copper Kα).
Intensities are scaled so that the largest is 100.

Structural model:
Unit cell a=8.9286 b=8.9286 c=8.9286 alpha=89.89 beta=89.89 gamma=89.89
Atoms (fractional coordinates):
Sb (0.0007, 0.1458, 0.6588)
Sb (0.1458, 0.6588, 0.0007)
Sb (0.1596, 0.4952, 0.3556)
Sb (0.3412, 0.9993, 0.8542)
Sb (0.3556, 0.1596, 0.4952)
Sb (0.4952, 0.3556, 0.1596)
Sb (0.5048, 0.6444, 0.8404)
Sb (0.6444, 0.8404, 0.5048)
Sb (0.6588, 0.0007, 0.1458)
Sb (0.8404, 0.5048, 0.6444)
Sb (0.8542, 0.3412, 0.9993)
Sb (0.9993, 0.8542, 0.3412)
Ir (0.2385, 0.2385, 0.2385)
Ir (0.2466, 0.7458, 0.7403)
Ir (0.2542, 0.2597, 0.7534)
Ir (0.2597, 0.7534, 0.2542)
Ir (0.7403, 0.2466, 0.7458)
Ir (0.7458, 0.7403, 0.2466)
Ir (0.7534, 0.2542, 0.2597)
Ir (0.7615, 0.7615, 0.7615)
S (0.0047, 0.8623, 0.6821)
S (0.1377, 0.3179, 0.9953)
S (0.1817, 0.4995, 0.6387)
S (0.3179, 0.9953, 0.1377)
S (0.3613, 0.8183, 0.5005)
S (0.4995, 0.6387, 0.1817)
S (0.5005, 0.3613, 0.8183)
S (0.6387, 0.1817, 0.4995)
S (0.6821, 0.0047, 0.8623)
S (0.8183, 0.5005, 0.3613)
S (0.8623, 0.6821, 0.0047)
S (0.9953, 0.1377, 0.3179)

The 12 most intense peaks (5° ≤ 2θ ≤ 70°), low angle first:
19.89°, intensity 93.2; 28.27°, intensity 58.2; 30.04°, intensity 24.0; 31.69°, intensity 65.1; 33.26°, intensity 14.4; 34.81°, intensity 30.0; 37.69°, intensity 22.0; 45.43°, intensity 100.0; 49.96°, intensity 16.0; 50.08°, intensity 51.6; 66.20°, intensity 20.6; 69.92°, intensity 15.7

---

Record 10
For SbIr2S4, a structure optimized by DFT (PBE) gives the simulated powder X-ray diffraction pattern in this record (copper Kα).
Intensities are scaled so that the largest is 100.

Structural model:
Unit cell a=7.6283 b=7.6283 c=7.6283 alpha=128.79 beta=128.79 gamma=75.35
Atoms (fractional coordinates):
Sb (0.3750, 0.1250, 0.2500)
Sb (0.6250, 0.8750, 0.7500)
Ir (0.0000, 0.0000, 0.5000)
Ir (0.0000, 0.5000, 0.0000)
Ir (0.0000, 0.5000, 0.5000)
Ir (0.5000, 0.5000, 0.0000)
S (0.0168, 0.1202, 0.2958)
S (0.2209, 0.5168, 0.3966)
S (0.3243, 0.7209, 0.2042)
S (0.3798, 0.1757, 0.8966)
S (0.6202, 0.8243, 0.1034)
S (0.6757, 0.2791, 0.7958)
S (0.7791, 0.4832, 0.6034)
S (0.9832, 0.8798, 0.7042)

The 12 most intense peaks (5° ≤ 2θ ≤ 70°), low angle first:
15.31°, intensity 33.1; 25.93°, intensity 51.6; 30.90°, intensity 78.9; 31.23°, intensity 100.0; 39.75°, intensity 30.1; 47.11°, intensity 21.8; 49.39°, intensity 46.3; 50.48°, intensity 22.4; 53.33°, intensity 22.0; 55.77°, intensity 12.9; 62.36°, intensity 14.1; 65.13°, intensity 23.9

---

Record 11
For IrSe2S, a structure optimized by DFT (PBE) gives the simulated powder X-ray diffraction pattern in this record (copper Kα).
Intensities are scaled so that the largest is 100.

Structural model:
Unit cell a=5.3715 b=5.5886 c=6.4528 alpha=89.87 beta=87.38 gamma=87.68
Atoms (fractional coordinates):
Ir (0.0080, 0.2295, 0.0019)
Ir (0.9920, 0.7705, 0.9981)
Se (0.2213, 0.1775, 0.6567)
Se (0.3130, 0.5021, 0.1308)
Se (0.6871, 0.4979, 0.8692)
Se (0.7787, 0.8225, 0.3433)
S (0.1781, 0.7931, 0.6655)
S (0.8219, 0.2069, 0.3345)

The 12 most intense peaks (5° ≤ 2θ ≤ 70°), low angle first:
13.74°, intensity 100.0; 16.53°, intensity 72.2; 21.06°, intensity 52.1; 26.06°, intensity 14.1; 32.06°, intensity 15.1; 33.08°, intensity 47.0; 35.67°, intensity 51.5; 38.08°, intensity 20.8; 39.26°, intensity 26.7; 42.87°, intensity 20.8; 46.23°, intensity 19.8; 53.84°, intensity 29.2

---

Record 12
For IrSeS4, a structure optimized by DFT (PBE) gives the simulated powder X-ray diffraction pattern in this record (copper Kα).
Intensities are scaled so that the largest is 100.

Structural model:
Unit cell a=6.1104 b=6.6528 c=7.2934 alpha=70.91 beta=66.09 gamma=86.57
Atoms (fractional coordinates):
Ir (0.0000, 0.0000, 0.0000)
Ir (0.5000, 0.5000, 0.5000)
Se (0.1462, 0.4462, 0.1575)
Se (0.8538, 0.5538, 0.8425)
S (0.1173, 0.3381, 0.6967)
S (0.1232, 0.8545, 0.7208)
S (0.3389, 0.9146, 0.1011)
S (0.4478, 0.7244, 0.6876)
S (0.5522, 0.2756, 0.3124)
S (0.6611, 0.0854, 0.8989)
S (0.8768, 0.1455, 0.2792)
S (0.8827, 0.6619, 0.3033)

The 12 most intense peaks (5° ≤ 2θ ≤ 70°), low angle first:
16.37°, intensity 100.0; 20.43°, intensity 18.7; 22.24°, intensity 17.9; 23.13°, intensity 41.2; 25.34°, intensity 31.7; 25.71°, intensity 21.2; 28.50°, intensity 22.9; 31.76°, intensity 22.2; 32.99°, intensity 33.2; 33.61°, intensity 58.1; 43.02°, intensity 19.0; 50.45°, intensity 18.2